Entry 1:
Theoretical X-ray diffraction stick pattern of SmHgI3 for copper Kα, from the GGA-PBE geometry in Alexandria.

Peak list (10 most intense, 2θ from 10° to 90°, low angle first)
2θ/deg  d/Å  Rel. int.  (hkl)
14.2  6.240  33  0 1 2
17.2  5.153  24  1 0 4
24.2  3.675  53  2 -1 3
25.3  3.517  14  0 0 9
28.4  3.147  100  1 1 6
39.8  2.264  36  3 0 0
41.3  2.188  34  2 -1 12
49.6  1.838  20  4 -2 6
65.4  1.427  17  4 1 6
67.4  1.389  14  3 0 18

Cell and atoms:
Cell: 7.8412 7.8412 31.6516 Å, 90.00 90.00 120.00°
Space group R-3 (No. 148, hexagonal axes)
Unique sites:
Sm  0.0000  0.0000  0.1668 (multiplicity 6)
Hg  0.0000  0.0000  0.3378 (multiplicity 6)
I  0.9996  0.3584  0.4429 (multiplicity 18)

---

Entry 2:
Theoretical X-ray diffraction stick pattern of Sn2HgI2 for copper Kα, from the GGA-PBE geometry in Alexandria.

Peak list (10 most intense, 2θ from 10° to 90°, low angle first)
2θ/deg  d/Å  Rel. int.  (hkl)
19.5  4.543  17  1 1 0
27.5  3.241  39  1 1 2
27.8  3.212  100  2 0 0
32.2  2.780  54  1 0 3
39.7  2.271  39  2 2 0
43.0  2.102  50  2 1 3
60.0  1.543  19  3 2 3
63.7  1.460  18  1 1 6
64.9  1.437  19  4 2 0
77.8  1.228  21  3 1 6

Cell and atoms:
Cell: 6.424 6.424 9.251 Å, 90.00 90.00 90.00°
Space group I4/mmm (No. 139)
Unique sites:
Sn  0.000  0.000  0.178 (multiplicity 4)
Hg  0.000  0.000  0.500 (multiplicity 2)
I  0.000  0.500  0.250 (multiplicity 4)

---

Entry 3:
Theoretical X-ray diffraction stick pattern of SnHg3I9 for copper Kα, from the GGA-PBE geometry in Alexandria.

Peak list (10 most intense, 2θ from 10° to 90°, low angle first)
2θ/deg  d/Å  Rel. int.  (hkl)
14.6  6.054  82  1 1 1
16.2  5.483  66  3 1 -2
21.1  4.205  26  1 1 2
23.4  3.808  52  5 1 -2
24.9  3.582  100  2 2 -3
28.1  3.174  31  4 2 0
34.1  2.631  25  3 3 1
36.1  2.486  30  7 1 -1
37.4  2.405  33  1 3 3
44.5  2.037  24  1 1 -6

Cell and atoms:
Cell: 20.535 10.533 14.920 Å, 90.00 129.16 90.00°
Space group Cc (No. 9)
Unique sites:
Sn  0.000  0.226  0.000 (multiplicity 4)
Hg  0.141  0.433  0.836 (multiplicity 4)
Hg  0.275  0.073  0.779 (multiplicity 4)
Hg  0.376  0.380  0.680 (multiplicity 4)
I  0.006  0.302  0.797 (multiplicity 4)
I  0.007  0.061  0.173 (multiplicity 4)
I  0.124  0.435  0.149 (multiplicity 4)
I  0.146  0.027  0.064 (multiplicity 4)
I  0.202  0.349  0.486 (multiplicity 4)
I  0.274  0.251  0.924 (multiplicity 4)
I  0.356  0.426  0.300 (multiplicity 4)
I  0.364  0.120  0.467 (multiplicity 4)
I  0.424  0.154  0.814 (multiplicity 4)

---

Entry 4:
Theoretical X-ray diffraction stick pattern of Sn4HgI8 for copper Kα, from the GGA-PBE geometry in Alexandria.

Peak list (10 most intense, 2θ from 10° to 90°, low angle first)
2θ/deg  d/Å  Rel. int.  (hkl)
22.9  3.876  17  3 1 -1
24.9  3.574  100  2 0 -4
26.2  3.402  81  4 0 1
31.2  2.867  55  5 1 -4
35.2  2.547  34  7 1 -2
39.4  2.285  75  0 2 0
42.1  2.149  24  8 0 -7
44.5  2.037  17  10 0 -2
47.2  1.925  18  2 2 -4
64.9  1.438  23  13 1 -2

Cell and atoms:
Cell: 22.336 4.573 15.290 Å, 90.00 129.59 90.00°
Space group Cm (No. 8)
Unique sites:
Sn  0.000  0.000  0.000 (multiplicity 2)
Sn  0.013  0.500  0.366 (multiplicity 2)
Sn  0.190  0.000  0.699 (multiplicity 2)
Sn  0.202  0.500  0.065 (multiplicity 2)
Hg  0.346  0.500  0.526 (multiplicity 2)
I  0.023  0.500  0.871 (multiplicity 2)
I  0.058  0.500  0.607 (multiplicity 2)
I  0.144  0.000  0.458 (multiplicity 2)
I  0.180  0.000  0.194 (multiplicity 2)
I  0.223  0.000  0.943 (multiplicity 2)
I  0.313  0.500  0.772 (multiplicity 2)
I  0.390  0.500  0.292 (multiplicity 2)
I  0.479  0.000  0.122 (multiplicity 2)

---

Entry 5:
Theoretical X-ray diffraction stick pattern of SrHg2I2 for copper Kα, from the GGA-PBE geometry in Alexandria.

Peak list (10 most intense, 2θ from 10° to 90°, low angle first)
2θ/deg  d/Å  Rel. int.  (hkl)
16.0  5.545  40  0 0 4
24.1  3.697  41  0 0 6
29.3  3.050  31  1 0 5
31.2  2.869  100  1 1 2
34.3  2.618  42  1 1 4
43.1  2.100  31  2 0 0
44.7  2.027  18  1 1 8
49.9  1.826  23  2 0 6
51.4  1.777  27  1 1 10
71.5  1.319  19  3 1 2

Cell and atoms:
Cell: 4.200 4.200 22.180 Å, 90.00 90.00 90.00°
Space group I4/mmm (No. 139)
Unique sites:
Sr  0.000  0.000  0.000 (multiplicity 2)
Hg  0.000  0.500  0.250 (multiplicity 4)
I  0.000  0.000  0.415 (multiplicity 4)

---

Entry 6:
Theoretical X-ray diffraction stick pattern of Sr2HgI for copper Kα, from the GGA-PBE geometry in Alexandria.

Peak list (10 most intense, 2θ from 10° to 90°, low angle first)
2θ/deg  d/Å  Rel. int.  (hkl)
22.1  4.024  10  1 0 0
30.0  2.979  100  1 0 2
31.4  2.846  47  1 1 0
40.7  2.216  9  0 0 4
45.1  2.012  17  2 0 0
52.3  1.748  18  1 1 4
55.1  1.667  36  2 1 2
62.3  1.490  11  2 0 4
74.6  1.273  8  3 1 0
88.6  1.104  9  3 1 4

Cell and atoms:
Cell: 4.024 4.024 8.865 Å, 90.00 90.00 90.00°
Space group P4/mmm (No. 123)
Unique sites:
Sr  0.000  0.000  0.220 (multiplicity 2)
Hg  0.500  0.500  0.000 (multiplicity 1)
I  0.500  0.500  0.500 (multiplicity 1)

---

Number 6 is which compound? Sr2HgI

---

Please write out number 1 again, unchanged.
Theoretical X-ray diffraction stick pattern of SmHgI3 for copper Kα, from the GGA-PBE geometry in Alexandria.

Peak list (10 most intense, 2θ from 10° to 90°, low angle first)
2θ/deg  d/Å  Rel. int.  (hkl)
14.2  6.240  33  0 1 2
17.2  5.153  24  1 0 4
24.2  3.675  53  2 -1 3
25.3  3.517  14  0 0 9
28.4  3.147  100  1 1 6
39.8  2.264  36  3 0 0
41.3  2.188  34  2 -1 12
49.6  1.838  20  4 -2 6
65.4  1.427  17  4 1 6
67.4  1.389  14  3 0 18

Cell and atoms:
Cell: 7.8412 7.8412 31.6516 Å, 90.00 90.00 120.00°
Space group R-3 (No. 148, hexagonal axes)
Unique sites:
Sm  0.0000  0.0000  0.1668 (multiplicity 6)
Hg  0.0000  0.0000  0.3378 (multiplicity 6)
I  0.9996  0.3584  0.4429 (multiplicity 18)